Calculated X-ray diffraction stick pattern of CoCuP2O8 for Cu Kα (λ = 1.5418 Å), from a PBE+U-relaxed structure.

Peak list (6 most intense, 5° ≤ 2θ ≤ 70°, low angle first)
- 17.5 deg, I = 59
- 19.0 deg, I = 100
- 23.7 deg, I = 38
- 25.6 deg, I = 36
- 30.1 deg, I = 69
- 30.5 deg, I = 49

Atomic structure:
abc: 5.004 5.931 10.168
angles: 90.00 96.10 90.00
Positions (direct):
Co 0.062 0.250 0.295
Co 0.938 0.750 0.705
Cu 0.347 0.250 0.809
Cu 0.653 0.750 0.191
P 0.102 0.750 0.402
P 0.448 0.750 0.890
P 0.552 0.250 0.110
P 0.898 0.250 0.598
O 0.153 0.750 0.553
O 0.209 0.250 0.635
O 0.225 0.537 0.342
O 0.225 0.963 0.342
O 0.259 0.250 0.134
O 0.268 0.556 0.820
O 0.268 0.944 0.820
O 0.412 0.750 0.039
O 0.588 0.250 0.961
O 0.732 0.056 0.180
O 0.732 0.444 0.180
O 0.741 0.750 0.866
O 0.775 0.037 0.658
O 0.775 0.463 0.658
O 0.791 0.750 0.365
O 0.847 0.250 0.447